For Lu6MgWO12, a cell relaxed with GGA+U gives the computed powder diffraction line list in this record (a wavelength of 1.5418 Å).
Lines closer than 0.1° are merged.

Main lines, by angle (2θ = 10–90°):
| two_theta | I_rel | index |
| --- | --- | --- |
| 29.5 | 100 | 3 -1 1 |
| 34.2 | 34 | 1 2 2 |
| 34.8 | 9 | 1 1 3 |
| 39.5 | 6 | 1 3 1 |
| 43.7 | 9 | 3 0 3 |
| 49.1 | 33 | 4 1 0 |
| 50.9 | 6 | 2 3 2 |
| 56.2 | 7 | 4 -3 4 |
| 58.3 | 29 | 5 -4 3 |
| 61.2 | 8 | 6 -2 2 |
| 64.3 | 6 | 1 1 6 |
| 79.6 | 7 | 6 -2 5 |

Structure:
a b c (Å): 9.8170 9.8170 9.0919
angles (deg): 90.00 90.00 120.00
Space group R3 (No. 146, hexagonal axes)
One atom of each set of equivalent atoms:
Lu (0.0273, 0.7814, 0.0000) x9
Lu (0.1029, 0.3791, 0.3895) x9
Mg (0.0000, 0.0000, 0.6320) x3
W (0.0000, 0.0000, 0.3392) x3
O (0.0275, 0.8279, 0.7487) x9
O (0.0326, 0.8270, 0.2427) x9
O (0.1354, 0.4456, 0.6329) x9
O (0.1802, 0.0300, 0.4869) x9

For Sr6Li2Cr2N8O, a cell relaxed with GGA+U gives the computed powder diffraction line list in this record (a wavelength of 1.5418 Å).
Lines closer than 0.1° are merged.

Main lines, by angle (2θ = 10–90°):
| two_theta | I_rel | index |
| --- | --- | --- |
| 27.1 | 52 | 1 2 0 |
| 27.4 | 55 | 0 1 2 |
| 29.7 | 41 | 0 2 1 |
| 30.0 | 34 | 2 1 0 |
| 31.5 | 64 | 2 0 0 |
| 32.2 | 69 | 1 -1 2 |
| 33.3 | 100 | 1 1 -2 |
| 33.4 | 52 | 2 1 2 |
| 33.8 | 29 | 2 2 1 |
| 36.2 | 44 | 1 -2 0 |
| 36.6 | 29 | 1 1 3 |
| 43.5 | 26 | 1 3 -1 |

Structure:
a b c (Å): 6.211 6.870 7.601
angles (deg): 82.30 75.08 69.96
Space group P-1 (No. 2)
One atom of each set of equivalent atoms:
Sr (0.200, 0.188, 0.468) x2
Sr (0.207, 0.135, 0.930) x2
Sr (0.300, 0.621, 0.698) x2
Li (0.275, 0.490, 0.092) x2
Cr (0.288, 0.788, 0.251) x2
N (0.034, 0.011, 0.265) x2
N (0.215, 0.569, 0.358) x2
N (0.423, 0.745, 0.021) x2
N (0.487, 0.820, 0.365) x2
O (0.000, 0.500, 0.000) x1

What is the formula in the second record?
Sr6Li2Cr2N8O

What did the second record say?
For Sr6Li2Cr2N8O, a cell relaxed with GGA+U gives the computed powder diffraction line list in this record (a wavelength of 1.5418 Å).
Lines closer than 0.1° are merged.

Main lines, by angle (2θ = 10–90°):
| two_theta | I_rel | index |
| --- | --- | --- |
| 27.1 | 52 | 1 2 0 |
| 27.4 | 55 | 0 1 2 |
| 29.7 | 41 | 0 2 1 |
| 30.0 | 34 | 2 1 0 |
| 31.5 | 64 | 2 0 0 |
| 32.2 | 69 | 1 -1 2 |
| 33.3 | 100 | 1 1 -2 |
| 33.4 | 52 | 2 1 2 |
| 33.8 | 29 | 2 2 1 |
| 36.2 | 44 | 1 -2 0 |
| 36.6 | 29 | 1 1 3 |
| 43.5 | 26 | 1 3 -1 |

Structure:
a b c (Å): 6.211 6.870 7.601
angles (deg): 82.30 75.08 69.96
Space group P-1 (No. 2)
One atom of each set of equivalent atoms:
Sr (0.200, 0.188, 0.468) x2
Sr (0.207, 0.135, 0.930) x2
Sr (0.300, 0.621, 0.698) x2
Li (0.275, 0.490, 0.092) x2
Cr (0.288, 0.788, 0.251) x2
N (0.034, 0.011, 0.265) x2
N (0.215, 0.569, 0.358) x2
N (0.423, 0.745, 0.021) x2
N (0.487, 0.820, 0.365) x2
O (0.000, 0.500, 0.000) x1